Ge3N4: calculated powder XRD pattern (CuKα), based on a cell relaxed with GGA-PBE.

Peak list (10 most intense, 10 to 90 degrees two-theta, sorted by position)
| Position (°2θ) | intensity |
| --- | --- |
| 31.89 | 100 |
| 41.55 | 21 |
| 49.63 | 19 |
| 53.31 | 4 |
| 60.21 | 19 |
| 63.48 | 16 |
| 66.66 | 7 |
| 69.77 | 18 |
| 75.81 | 4 |
| 87.48 | 15 |

Cell and atoms:
```
data_Ge3N4
_cell_length_a 6.8734
_cell_length_b 6.8734
_cell_length_c 6.8734
_cell_angle_alpha 90.00
_cell_angle_beta 90.00
_cell_angle_gamma 90.00
_symmetry_space_group_name_H-M 'I -4 3 d'
_symmetry_Int_Tables_number 220
_symmetry_space_group_name_Hall 'I -4bd 2c 3'
loop_
_atom_site_label
_atom_site_type_symbol
_atom_site_fract_x
_atom_site_fract_y
_atom_site_fract_z
Ge1 Ge 0.0000 0.2500 0.8750
N1 N 0.0275 0.0275 0.0275
```